1.
Simulated powder X-ray diffraction pattern
Compound: NaDyBr3
Radiation: Cu Kα (weighted mean of Kα1 and Kα2)
Structure: the GGA-PBE geometry in Alexandria

Most intense lines, 5° ≤ 2θ ≤ 70°, in order of rising 2θ:
| 2θ (°) | d/Å | intensity |
| --- | --- | --- |
| 12.99 | 6.817 | 100 |
| 29.41 | 3.037 | 49 |
| 29.77 | 3.001 | 16 |
| 34.82 | 2.577 | 23 |
| 35.23 | 2.548 | 26 |
| 37.69 | 2.387 | 40 |
| 46.12 | 1.968 | 23 |
| 48.44 | 1.879 | 11 |
| 48.83 | 1.865 | 12 |
| 61.03 | 1.518 | 9 |

Structural model:
Lattice parameters (Å, degrees): 7.8743 7.8743 6.6851 90.01 90.01 59.95
Positions (direct):
Na 0.1669 0.1669 0.2497
Na 0.8331 0.8331 0.7503
Dy 0.5000 0.5000 0.0000
Dy 0.5000 0.5000 0.5000
Br 0.1592 0.6705 0.2500
Br 0.3298 0.3298 0.7499
Br 0.3295 0.8408 0.7500
Br 0.6705 0.1592 0.2500
Br 0.6702 0.6702 0.2501
Br 0.8408 0.3295 0.7500

---

2.
Simulated powder X-ray diffraction pattern
Compound: DyBr3O6
Radiation: Cu Kα (weighted mean of Kα1 and Kα2)
Structure: the GGA-PBE geometry in Alexandria

Most intense lines, 5° ≤ 2θ ≤ 70°, in order of rising 2θ:
| 2θ (°) | d/Å | intensity |
| --- | --- | --- |
| 16.45 | 5.388 | 31 |
| 21.59 | 4.115 | 82 |
| 23.37 | 3.807 | 100 |
| 25.80 | 3.454 | 38 |
| 27.00 | 3.302 | 28 |
| 27.33 | 3.264 | 60 |
| 30.84 | 2.899 | 74 |
| 32.04 | 2.794 | 34 |
| 35.64 | 2.519 | 30 |
| 36.87 | 2.438 | 25 |

Structural model:
Lattice parameters (Å, degrees): 5.4044 6.3797 11.6127 90.00 94.49 90.00
Positions (direct):
Dy 0.0000 0.1059 0.2500
Dy 0.0000 0.8941 0.7500
Br 0.1966 0.2974 0.9683
Br 0.1966 0.7026 0.4683
Br 0.5000 0.4863 0.7500
Br 0.5000 0.5137 0.2500
Br 0.8034 0.2974 0.5317
Br 0.8034 0.7026 0.0317
O 0.1847 0.1261 0.0841
O 0.1847 0.8739 0.5841
O 0.2342 0.1506 0.8427
O 0.2342 0.8494 0.3427
O 0.2829 0.3538 0.3138
O 0.2829 0.6462 0.8138
O 0.7171 0.3538 0.1862
O 0.7171 0.6462 0.6862
O 0.7658 0.1506 0.6573
O 0.7658 0.8494 0.1573
O 0.8153 0.1261 0.4159
O 0.8153 0.8739 0.9159

---

3.
Simulated powder X-ray diffraction pattern
Compound: DyPBrO4
Radiation: Cu Kα (weighted mean of Kα1 and Kα2)
Structure: the GGA-PBE geometry in Alexandria

Most intense lines, 5° ≤ 2θ ≤ 70°, in order of rising 2θ:
| 2θ (°) | d/Å | intensity |
| --- | --- | --- |
| 19.17 | 4.629 | 47 |
| 22.43 | 3.964 | 69 |
| 27.70 | 3.220 | 33 |
| 28.31 | 3.153 | 100 |
| 28.74 | 3.106 | 69 |
| 29.45 | 3.032 | 24 |
| 30.98 | 2.887 | 27 |
| 33.64 | 2.664 | 39 |
| 34.79 | 2.579 | 27 |
| 36.51 | 2.461 | 24 |

Structural model:
Lattice parameters (Å, degrees): 6.3934 6.3934 6.5578 99.46 99.46 58.13
Positions (direct):
Dy 0.2007 0.2007 0.3215
Dy 0.7993 0.7993 0.6785
P 0.1358 0.1358 0.7580
P 0.8642 0.8642 0.2420
Br 0.4741 0.4741 0.8225
Br 0.5259 0.5259 0.1775
O 0.0028 0.0028 0.2674
O 0.0163 0.6235 0.3627
O 0.1976 0.1976 0.9865
O 0.3765 0.9837 0.6373
O 0.6235 0.0163 0.3627
O 0.8024 0.8024 0.0135
O 0.9837 0.3765 0.6373
O 0.9972 0.9972 0.7326